Record 1
Starting from a DFT-relaxed cell (PBE, OQMD), the powder X-ray diffraction pattern of HoEr2Co2Sn4 was computed for Cu Kα, 1.54184 Å.

Top 10 peaks for 15 to 90 degrees two-theta, in order of rising 2θ:
Position (°2θ), d [Å], Rel. int.
31.68, 2.824, 60
32.27, 2.774, 85
32.70, 2.738, 100
33.18, 2.700, 29
40.59, 2.222, 48
41.14, 2.194, 49
45.79, 1.981, 14
53.03, 1.727, 17
53.39, 1.716, 15
74.87, 1.268, 14

Cell and atoms:
Lattice parameters (Å, degrees): 11.1108 4.4450 8.4495 90.00 106.52 90.00
Space group C2/m (No. 12)
Inequivalent atoms, fractional coordinates:
Ho: 0.0000 0.0000 0.0000 x2
Er: 0.1310 0.5000 0.6839 x4
Co: 0.1969 0.5000 0.3875 x4
Sn: 0.0885 0.0000 0.3894 x4
Sn: 0.2027 0.5000 0.0853 x4

***

Record 2
Starting from a DFT-relaxed cell (PBE, OQMD), the powder X-ray diffraction pattern of ErLuCo2I2 was computed for Cu Kα, 1.54184 Å.

Top 10 peaks for 15 to 90 degrees two-theta, in order of rising 2θ:
Position (°2θ), d [Å], Rel. int.
27.09, 3.291, 56
30.02, 2.977, 22
34.39, 2.608, 100
39.80, 2.265, 37
44.98, 2.015, 11
45.96, 1.975, 49
58.64, 1.574, 21
66.26, 1.411, 21
77.55, 1.231, 19
85.09, 1.140, 15

Cell and atoms:
Lattice parameters (Å, degrees): 3.9494 3.9494 12.0925 90.00 90.00 120.00
Space group P3m1 (No. 156)
Inequivalent atoms, fractional coordinates:
Er: 0.0000 0.0000 0.0000 x1
Lu: 0.0000 0.0000 0.7056 x1
Co: 0.3333 0.6667 0.8475 x1
Co: 0.6667 0.3333 0.8539 x1
I: 0.3333 0.6667 0.1777 x1
I: 0.6667 0.3333 0.5302 x1

***

Record 3
Starting from a DFT-relaxed cell (PBE, OQMD), the powder X-ray diffraction pattern of Er2In8Co was computed for Cu Kα, 1.54184 Å.

Top 10 peaks for 15 to 90 degrees two-theta, in order of rising 2θ:
Position (°2θ), d [Å], Rel. int.
31.24, 2.863, 47
35.45, 2.532, 100
37.02, 2.429, 23
39.25, 2.295, 56
55.05, 1.668, 28
56.71, 1.623, 19
66.19, 1.412, 11
68.20, 1.375, 16
68.69, 1.367, 28
69.68, 1.349, 14

Cell and atoms:
Lattice parameters (Å, degrees): 4.5908 4.5908 12.1431 90.00 90.00 90.00
Space group P4/mmm (No. 123)
Inequivalent atoms, fractional coordinates:
Er: 0.0000 0.0000 0.1937 x2
In: 0.0000 0.5000 0.0000 x2
In: 0.0000 0.5000 0.3804 x4
In: 0.5000 0.5000 0.1926 x2
Co: 0.0000 0.0000 0.5000 x1